[1]
For Tb3Pr4Sc, the PBE geometry in Alexandria gives the calculated X-ray powder pattern in this record (Cu Ka).

Largest 6 diffraction maxima, by angle, 2θ = 10–90°:
Position (°2θ)  I_rel  (hkl)
28.6  100  7 1 0
29.1  62  1 1 -1
29.9  44  3 1 -1
32.1  53  5 1 -1
32.5  60  0 2 0
33.9  39  6 0 1

```
data_Tb3Pr4Sc
_chemical_formula_sum 'Tb6 Pr8 Sc2'
_space_group_name_H-M_alt 'C 1 2/m 1'
_space_group_IT_number 12
_space_group_name_Hall '-C 2y'
_cell_length_a 26.783
_cell_length_b 5.508
_cell_length_c 3.697
_cell_angle_alpha 90.00
_cell_angle_beta 97.92
_cell_angle_gamma 90.00
loop_
_atom_site_label
_atom_site_fract_x
_atom_site_fract_y
_atom_site_fract_z
_atom_site_occupancy
Tb1 0.000 0.000 0.000 1
Tb2 0.139 0.000 0.639 1
Pr1 0.095 0.500 0.094 1
Pr2 0.219 0.500 0.221 1
Sc1 0.000 0.500 0.500 1
```



[2]
For LiMg2Au5, the PBE geometry in Alexandria gives the calculated X-ray powder pattern in this record (Cu Ka).

Largest 6 diffraction maxima, by angle, 2θ = 10–90°:
Position (°2θ)  I_rel  (hkl)
19.8  20  1 0 1
26.1  39  1 1 0
37.3  60  2 0 0
39.8  100  1 1 4
53.7  21  2 2 0
68.9  40  3 1 4

```
data_LiMg2Au5
_chemical_formula_sum 'Li2 Mg4 Au10'
_space_group_name_H-M_alt 'I 4/m m m'
_space_group_IT_number 139
_space_group_name_Hall '-I 4 2'
_cell_length_a 4.827
_cell_length_b 4.827
_cell_length_c 12.133
_cell_angle_alpha 90.00
_cell_angle_beta 90.00
_cell_angle_gamma 90.00
loop_
_atom_site_label
_atom_site_fract_x
_atom_site_fract_y
_atom_site_fract_z
_atom_site_occupancy
Li1 0.000 0.000 0.000 1
Mg1 0.000 0.000 0.255 1
Au1 0.000 0.000 0.500 1
Au2 0.000 0.500 0.127 1
```